# 1
For CaLaPrDy, DFT lattice parameters and positions (PBE) gives the simulated powder diffractogram in this record (Cu Kα (λ = 1.5418 Å)).
Kinematic intensities with the Lorentz-polarization factor, no thermal factor.

Peak list (10 most intense, 5 to 70 degrees two-theta, by intensity)
| 2θ/deg | I (rel.) |
| --- | --- |
| 29.41 | 100 |
| 8.27 | 39 |
| 34.36 | 34 |
| 58.53 | 28 |
| 48.78 | 23 |
| 33.55 | 16 |
| 57.45 | 12 |
| 49.38 | 12 |
| 61.02 | 11 |
| 35.01 | 11 |

```
data_CaLaPrDy
_chemical_formula_sum 'Ca1 La1 Pr1 Dy1'
_cell_length_a 3.6909
_cell_length_b 3.6909
_cell_length_c 10.6860
_cell_angle_alpha 90.00
_cell_angle_beta 90.00
_cell_angle_gamma 90.00
_space_group_name_H-M_alt 'P 4 m m'
_space_group_IT_number 99
loop_
_space_group_symop_operation_xyz
'x,y,z'
'-y,x,z'
'-x,-y,z'
'y,-x,z'
'-x,y,z'
'y,x,z'
'x,-y,z'
'-y,-x,z'
loop_
_atom_site_label
_atom_site_fract_x
_atom_site_fract_y
_atom_site_fract_z
_atom_site_occupancy
Ca1 0.0000 0.0000 0.0000 1
La1 0.5000 0.5000 0.7302 1
Pr1 0.5000 0.5000 0.2627 1
Dy1 0.0000 0.0000 0.4939 1
```


# 2
For LiPr4S5, DFT lattice parameters and positions (PBE) gives the simulated powder diffractogram in this record (Cu Kα (λ = 1.5418 Å)).
Kinematic intensities with the Lorentz-polarization factor, no thermal factor.

Peak list (10 most intense, 5 to 70 degrees two-theta, by intensity)
| 2θ/deg | I (rel.) |
| --- | --- |
| 31.10 | 100 |
| 44.56 | 72 |
| 26.85 | 63 |
| 52.79 | 30 |
| 55.33 | 25 |
| 18.24 | 15 |
| 13.78 | 13 |
| 64.84 | 11 |
| 19.53 | 7 |
| 39.00 | 5 |

```
data_LiPr4S5
_chemical_formula_sum 'Li2 Pr8 S10'
_cell_length_a 9.0909
_cell_length_b 9.0909
_cell_length_c 5.7556
_cell_angle_alpha 90.00
_cell_angle_beta 90.00
_cell_angle_gamma 90.00
_space_group_name_H-M_alt 'I 4'
_space_group_IT_number 79
loop_
_space_group_symop_operation_xyz
'x,y,z'
'-y,x,z'
'-x,-y,z'
'y,-x,z'
'x+1/2,y+1/2,z+1/2'
'-y+1/2,x+1/2,z+1/2'
'-x+1/2,-y+1/2,z+1/2'
'y+1/2,-x+1/2,z+1/2'
loop_
_atom_site_label
_atom_site_fract_x
_atom_site_fract_y
_atom_site_fract_z
_atom_site_occupancy
Li1 0.0000 0.0000 0.0000 1
Pr1 0.1006 0.7009 0.4733 1
S1 0.0000 0.0000 0.4655 1
S2 0.0953 0.7099 0.9733 1
```


# 3
For Pm2Dy8Ho3, DFT lattice parameters and positions (PBE) gives the simulated powder diffractogram in this record (Cu Kα (λ = 1.5418 Å)).
Kinematic intensities with the Lorentz-polarization factor, no thermal factor.

Peak list (10 most intense, 5 to 70 degrees two-theta, by intensity)
| 2θ/deg | I (rel.) |
| --- | --- |
| 31.81 | 100 |
| 34.71 | 72 |
| 30.07 | 70 |
| 31.29 | 56 |
| 31.56 | 55 |
| 33.28 | 33 |
| 36.62 | 31 |
| 62.18 | 28 |
| 28.69 | 25 |
| 52.25 | 23 |

```
data_Pm2Dy8Ho3
_chemical_formula_sum 'Pm4 Dy16 Ho6'
_cell_length_a 3.5015
_cell_length_b 11.7009
_cell_length_c 20.6371
_cell_angle_alpha 90.00
_cell_angle_beta 90.03
_cell_angle_gamma 90.00
_space_group_name_H-M_alt 'P 1 21/c 1'
_space_group_IT_number 14
loop_
_space_group_symop_operation_xyz
'x,y,z'
'-x,-y,-z'
'-x,y+1/2,-z+1/2'
'x,-y+1/2,z+1/2'
loop_
_atom_site_label
_atom_site_fract_x
_atom_site_fract_y
_atom_site_fract_z
_atom_site_occupancy
Pm1 0.0017 0.1797 0.0989 1
Dy1 0.0004 0.0456 0.5715 1
Dy2 0.0005 0.1271 0.2852 1
Dy3 0.4965 0.0526 0.8416 1
Dy4 0.5004 0.2078 0.4465 1
Ho1 0.4984 0.6450 0.7987 1
Ho2 0.5000 0.0000 0.0000 1
```


Q: What is the formula in the second record?
A: LiPr4S5